No. 1
The following is a simulated X-ray diffraction stick pattern of ZnS. It was derived from a structure optimized by DFT (GGA-PBE), using Cu Kα X-rays.
Kinematic intensities with the Lorentz-polarization factor, no thermal factor.

Most intense lines, 2θ from 5° to 70°, low angle first:
2theta, intensity
27.2, 12
27.4, 17
27.7, 16
28.4, 100
30.3, 24
47.2, 84
51.4, 17
56.0, 56

Cell and atoms:
```
ZnS
1.0
3.850 0.000 0.000
-1.925 3.335 0.000
0.000 0.000 75.567
Zn S
24 24
Cartesian
0.000 0.000 0.000
0.000 0.000 6.299
0.000 0.000 12.596
0.000 0.000 18.895
0.000 0.000 28.339
0.000 0.000 37.785
0.000 0.000 47.231
0.000 0.000 56.676
0.000 0.000 66.122
0.000 2.223 3.150
0.000 2.223 15.745
0.000 2.223 25.189
0.000 2.223 31.489
0.000 2.223 44.081
0.000 2.223 50.381
0.000 2.223 62.972
0.000 2.223 69.273
1.925 1.112 9.447
1.925 1.112 22.042
1.925 1.112 34.635
1.925 1.112 40.935
1.925 1.112 53.526
1.925 1.112 59.827
1.925 1.112 72.419
0.000 0.000 2.359
0.000 0.000 8.657
0.000 0.000 14.954
0.000 0.000 21.254
0.000 0.000 30.702
0.000 0.000 40.148
0.000 0.000 49.594
0.000 0.000 59.040
0.000 0.000 68.486
0.000 2.223 5.513
0.000 2.223 18.108
0.000 2.223 27.548
0.000 2.223 33.848
0.000 2.223 46.440
0.000 2.223 52.740
0.000 2.223 65.331
0.000 2.223 71.632
1.925 1.112 11.810
1.925 1.112 24.402
1.925 1.112 36.994
1.925 1.112 43.294
1.925 1.112 55.885
1.925 1.112 62.185
1.925 1.112 74.779
```

No. 2
The following is a simulated X-ray diffraction stick pattern of ZnS. It was derived from a structure optimized by DFT (GGA-PBE), using Cu Kα X-rays.
Kinematic intensities with the Lorentz-polarization factor, no thermal factor.

Most intense lines, 2θ from 5° to 70°, low angle first:
2theta, intensity
28.1, 58
28.3, 81
28.5, 100
29.7, 19
46.3, 21
47.2, 99
47.6, 43
55.9, 66

Cell and atoms:
```
ZnS
1.0
3.854 0.000 0.000
-1.927 3.337 0.000
0.000 0.000 62.987
Zn S
20 20
Cartesian
0.000 0.000 0.000
0.000 0.000 6.300
0.000 0.000 15.747
0.000 0.000 25.195
0.000 0.000 34.643
0.000 0.000 44.091
0.000 0.000 50.391
0.000 2.225 3.150
0.000 2.225 12.598
0.000 2.225 22.046
0.000 2.225 28.345
0.000 2.225 37.793
0.000 2.225 47.241
0.000 2.225 56.689
1.927 1.112 9.448
1.927 1.112 18.897
1.927 1.112 31.494
1.927 1.112 40.942
1.927 1.112 53.539
1.927 1.112 59.839
0.000 0.000 2.360
0.000 0.000 8.661
0.000 0.000 18.109
0.000 0.000 27.559
0.000 0.000 37.005
0.000 0.000 46.451
0.000 0.000 52.752
0.000 2.225 5.513
0.000 2.225 14.959
0.000 2.225 24.406
0.000 2.225 30.706
0.000 2.225 40.155
0.000 2.225 49.605
0.000 2.225 59.053
1.927 1.112 11.810
1.927 1.112 21.258
1.927 1.112 33.856
1.927 1.112 43.304
1.927 1.112 55.899
1.927 1.112 62.200
```

No. 3
The following is a simulated X-ray diffraction stick pattern of ZnS. It was derived from a structure optimized by DFT (GGA-PBE), using Cu Kα X-rays.
Kinematic intensities with the Lorentz-polarization factor, no thermal factor.

Most intense lines, 2θ from 5° to 70°, low angle first:
2theta, intensity
27.3, 33
28.1, 63
28.3, 82
28.5, 55
29.7, 30
47.2, 100
47.5, 23
55.9, 67

Cell and atoms:
```
ZnS
1.0
3.853 0.000 0.000
-1.927 3.337 0.000
0.000 0.000 63.025
Zn S
20 20
Cartesian
0.000 0.000 0.000
0.000 0.000 6.303
0.000 0.000 12.606
0.000 0.000 25.210
0.000 0.000 34.664
0.000 0.000 44.117
0.000 0.000 53.571
0.000 2.225 9.454
0.000 2.225 18.908
0.000 2.225 28.361
0.000 2.225 40.966
0.000 2.225 47.270
0.000 2.225 59.874
1.927 1.112 3.151
1.927 1.112 15.756
1.927 1.112 22.060
1.927 1.112 31.512
1.927 1.112 37.816
1.927 1.112 50.420
1.927 1.112 56.723
0.000 0.000 2.360
0.000 0.000 8.663
0.000 0.000 14.967
0.000 0.000 27.572
0.000 0.000 37.028
0.000 0.000 46.481
0.000 0.000 55.935
0.000 2.225 11.818
0.000 2.225 21.272
0.000 2.225 30.723
0.000 2.225 43.326
0.000 2.225 49.631
0.000 2.225 62.236
1.927 1.112 5.515
1.927 1.112 18.116
1.927 1.112 24.421
1.927 1.112 33.873
1.927 1.112 40.177
1.927 1.112 52.780
1.927 1.112 59.084
```